The following is a simulated X-ray diffraction stick pattern of V4O5F7. It was derived from a cell relaxed with PBE+U, using Cu Kα.
Neutral-atom scattering factors, no anomalous dispersion.

The 10 most intense peaks (2θ from 10° to 90°), sorted by position:
Position (°2θ)  d/Å  I/Imax
23.26  3.824  100
24.20  3.677  53
33.13  2.704  11
33.55  2.671  11
47.56  1.912  23
49.58  1.839  12
53.59  1.710  18
53.71  1.707  10
55.09  1.667  10
70.52  1.335  6

Crystal structure
```
V4O5F7
1.0
4.6120 -2.7037 0.0000
4.6120 2.7037 0.0000
-2.6939 0.0000 8.6264
V O F
4 5 7
direct
0.1189 0.1189 0.3756
0.4235 0.3328 0.1394
0.6672 0.5765 0.8606
0.8811 0.8811 0.6244
0.3069 0.2059 0.2477
0.7781 0.2026 0.2087
0.7941 0.6931 0.7523
0.7974 0.2219 0.7913
0.9692 0.0308 0.5000
0.2938 0.6916 0.7262
0.3084 0.7062 0.2738
0.4311 0.5689 0.0000
0.4391 0.0567 0.9631
0.4687 0.0567 0.5382
0.9433 0.5313 0.4618
0.9433 0.5609 0.0369
```